Diffraction record for Li2TcN2. The powder diffractogram is calculated, not measured: it uses a PBE-relaxed structure and Cu Ka.
Peak positions follow from Bragg's law for the DFT cell and can differ from measured ones.

Structure:
```
20
Lattice="8.843 0.000 0.000 0.000 4.980 0.000 0.000 0.000 5.190" Properties=species:S:1:pos:R:3 pbc="T T T"
Li 1.706 0.003 1.292
Li 1.706 4.976 3.887
Li 2.716 2.486 3.887
Li 2.716 2.493 1.292
Li 6.128 2.486 3.898
Li 6.128 2.493 1.303
Li 7.137 0.003 1.303
Li 7.137 4.976 3.898
Tc 0.000 2.492 1.298
Tc 0.000 2.488 3.893
Tc 4.422 0.002 1.298
Tc 4.422 4.978 3.893
N 1.090 1.486 2.593
N 1.090 3.494 5.189
N 3.332 1.004 5.189
N 3.332 3.976 2.593
N 5.511 1.004 2.597
N 5.511 3.976 0.002
N 7.753 1.486 0.002
N 7.753 3.494 2.597
```

Main lines, by angle (10 to 90 degrees two-theta):
20.08 deg, d = 4.422 Å, rel. 42
20.47 deg, d = 4.339 Å, rel. 100
35.39 deg, d = 2.537 Å, rel. 25
36.07 deg, d = 2.490 Å, rel. 8
40.30 deg, d = 2.238 Å, rel. 13
40.50 deg, d = 2.227 Å, rel. 26
41.63 deg, d = 2.170 Å, rel. 12
50.30 deg, d = 1.814 Å, rel. 21
50.82 deg, d = 1.797 Å, rel. 13
54.53 deg, d = 1.683 Å, rel. 10
55.16 deg, d = 1.665 Å, rel. 15
55.59 deg, d = 1.653 Å, rel. 9

Diffraction record for Li5Tc2N6. The powder diffractogram is calculated, not measured: it uses a PBE-relaxed structure and Cu Ka.
Peak positions follow from Bragg's law for the DFT cell and can differ from measured ones.

Structure:
```
26
Lattice="5.017 -2.947 0.000 5.017 2.947 0.000 -0.404 0.000 11.798" Properties=species:S:1:pos:R:3 pbc="T T T"
Li 3.884 2.078 1.804
Li 4.714 1.787 8.849
Li 5.948 2.078 4.095
Li 3.943 0.351 3.961
Li 3.741 -0.351 9.860
Li 5.889 0.351 1.938
Li 5.687 -0.351 7.837
Li 3.682 -2.078 7.703
Li 4.916 -1.787 2.950
Li 5.746 -2.078 9.994
Tc 2.282 0.688 6.996
Tc 2.484 -0.688 1.096
Tc 7.146 0.688 10.702
Tc 7.348 -0.688 4.803
N 0.762 0.356 7.844
N 0.964 -0.356 1.945
N 2.235 0.343 5.074
N 2.033 -0.343 10.973
N 3.709 0.042 7.826
N 3.911 -0.042 1.926
N 5.719 0.042 9.872
N 5.921 -0.042 3.973
N 7.597 0.343 0.825
N 7.395 -0.343 6.724
N 8.665 0.356 9.853
N 8.867 -0.356 3.954
```

Main lines, by angle (10 to 90 degrees two-theta):
17.69 deg, d = 5.014 Å, rel. 100
18.89 deg, d = 4.697 Å, rel. 55
19.14 deg, d = 4.638 Å, rel. 72
22.89 deg, d = 3.884 Å, rel. 70
23.30 deg, d = 3.818 Å, rel. 47
30.31 deg, d = 2.949 Å, rel. 27
31.28 deg, d = 2.860 Å, rel. 17
31.92 deg, d = 2.804 Å, rel. 18
35.83 deg, d = 2.506 Å, rel. 20
38.16 deg, d = 2.359 Å, rel. 23
41.98 deg, d = 2.152 Å, rel. 23
42.70 deg, d = 2.118 Å, rel. 15

Diffraction record for Li5TcN3. The powder diffractogram is calculated, not measured: it uses a PBE-relaxed structure and Cu Ka.
Peak positions follow from Bragg's law for the DFT cell and can differ from measured ones.

Structure:
```
18
Lattice="5.447 -2.447 0.000 5.447 2.447 0.000 -2.169 0.000 6.507" Properties=species:S:1:pos:R:3 pbc="T T T"
Li 1.562 1.373 5.855
Li 2.664 1.120 2.802
Li 3.821 1.403 4.880
Li 6.079 1.373 3.906
Li 7.146 1.120 0.451
Li 1.579 -1.120 6.056
Li 2.646 -1.373 2.602
Li 4.905 -1.403 1.627
Li 6.062 -1.120 3.705
Li 7.164 -1.373 0.652
Tc 4.905 1.056 1.627
Tc 3.821 -1.056 4.880
N -0.096 0.226 5.341
N 0.989 -0.226 2.088
N 5.447 0.000 0.000
N 4.363 0.000 3.254
N 7.737 0.226 4.420
N 8.821 -0.226 1.166
```

Main lines, by angle (10 to 90 degrees two-theta):
17.16 deg, d = 5.168 Å, rel. 95
22.73 deg, d = 3.912 Å, rel. 100
25.84 deg, d = 3.448 Å, rel. 66
27.40 deg, d = 3.255 Å, rel. 61
31.17 deg, d = 2.870 Å, rel. 34
31.77 deg, d = 2.816 Å, rel. 18
36.98 deg, d = 2.431 Å, rel. 21
37.94 deg, d = 2.371 Å, rel. 21
43.93 deg, d = 2.061 Å, rel. 19
46.43 deg, d = 1.956 Å, rel. 22
53.12 deg, d = 1.724 Å, rel. 53
54.00 deg, d = 1.698 Å, rel. 14

Diffraction record for Li3TcN2. The powder diffractogram is calculated, not measured: it uses a PBE-relaxed structure and Cu Ka.
Peak positions follow from Bragg's law for the DFT cell and can differ from measured ones.

Structure:
```
12
Lattice="4.828 0.000 0.000 0.000 4.828 0.000 0.000 0.000 4.828" Properties=species:S:1:pos:R:3 pbc="T T T"
Li 1.207 1.207 3.621
Li 1.207 3.621 1.207
Li 1.207 3.621 3.621
Li 3.621 1.207 1.207
Li 3.621 1.207 3.621
Li 3.621 3.621 1.207
Tc 1.207 1.207 1.207
Tc 3.621 3.621 3.621
N 0.000 0.000 0.000
N 0.000 2.414 2.414
N 2.414 0.000 2.414
N 2.414 2.414 0.000
```

Main lines, by angle (10 to 90 degrees two-theta):
26.10 deg, d = 3.414 Å, rel. 100
32.11 deg, d = 2.788 Å, rel. 3
37.25 deg, d = 2.414 Å, rel. 17
46.05 deg, d = 1.971 Å, rel. 42
53.69 deg, d = 1.707 Å, rel. 28
60.65 deg, d = 1.527 Å, rel. 18
63.95 deg, d = 1.456 Å, rel. 1
67.16 deg, d = 1.394 Å, rel. 4
73.37 deg, d = 1.290 Å, rel. 20
79.39 deg, d = 1.207 Å, rel. 4
85.29 deg, d = 1.138 Å, rel. 10

Diffraction record for LiTiTcN3. The powder diffractogram is calculated, not measured: it uses a PBE-relaxed structure and Cu Ka.
Peak positions follow from Bragg's law for the DFT cell and can differ from measured ones.

Structure:
```
12
Lattice="6.223 0.000 0.000 0.000 2.996 0.000 -0.399 0.000 8.800" Properties=species:S:1:pos:R:3 pbc="T T T"
Li 1.069 0.749 2.214
Li 4.755 2.247 6.586
Ti 0.661 0.749 5.229
Ti 5.163 2.247 3.571
Tc 2.239 2.247 7.889
Tc 3.585 0.749 0.911
N 0.785 2.247 3.837
N 0.898 2.247 6.613
N 2.209 2.247 1.091
N 3.615 0.749 7.709
N 4.926 0.749 2.187
N 5.039 0.749 4.963
```

Main lines, by angle (10 to 90 degrees two-theta):
10.05 deg, d = 8.800 Å, rel. 16
14.25 deg, d = 6.217 Å, rel. 15
17.09 deg, d = 5.190 Å, rel. 100
17.84 deg, d = 4.972 Å, rel. 14
34.39 deg, d = 2.608 Å, rel. 7
34.57 deg, d = 2.595 Å, rel. 10
34.96 deg, d = 2.566 Å, rel. 21
36.27 deg, d = 2.477 Å, rel. 22
41.02 deg, d = 2.200 Å, rel. 6
41.88 deg, d = 2.157 Å, rel. 13
45.20 deg, d = 2.006 Å, rel. 15
59.02 deg, d = 1.565 Å, rel. 5

Diffraction record for LiVTc2N4. The powder diffractogram is calculated, not measured: it uses a PBE-relaxed structure and Cu Ka.
Peak positions follow from Bragg's law for the DFT cell and can differ from measured ones.

Structure:
```
16
Lattice="6.042 0.000 0.000 0.000 5.599 0.000 0.000 0.000 5.512" Properties=species:S:1:pos:R:3 pbc="T T T"
Li 0.000 0.716 0.000
Li 3.021 4.883 2.756
V 0.000 4.468 2.627
V 3.021 1.131 5.383
Tc 1.484 1.941 2.706
Tc 1.537 3.658 5.462
Tc 4.505 3.658 5.462
Tc 4.558 1.941 2.706
N 0.000 0.756 2.199
N 0.000 4.463 4.484
N 1.467 1.863 4.628
N 1.554 3.736 1.872
N 3.021 1.136 1.728
N 3.021 4.843 4.955
N 4.488 3.736 1.872
N 4.576 1.863 4.628
```

Main lines, by angle (10 to 90 degrees two-theta):
15.83 deg, d = 5.599 Å, rel. 56
22.64 deg, d = 3.928 Å, rel. 67
29.57 deg, d = 3.021 Å, rel. 28
32.49 deg, d = 2.756 Å, rel. 64
33.71 deg, d = 2.659 Å, rel. 47
35.98 deg, d = 2.496 Å, rel. 59
37.56 deg, d = 2.395 Å, rel. 100
47.24 deg, d = 1.924 Å, rel. 34
47.52 deg, d = 1.914 Å, rel. 24
58.09 deg, d = 1.588 Å, rel. 28
61.34 deg, d = 1.511 Å, rel. 50
68.16 deg, d = 1.376 Å, rel. 24

Diffraction record for Li2VTcN4. The powder diffractogram is calculated, not measured: it uses a PBE-relaxed structure and Cu Ka.
Peak positions follow from Bragg's law for the DFT cell and can differ from measured ones.

Structure:
```
16
Lattice="6.418 0.000 0.000 0.000 5.775 0.000 0.000 0.000 5.144" Properties=species:S:1:pos:R:3 pbc="T T T"
Li 1.595 0.931 0.000
Li 1.614 4.844 2.572
Li 4.804 4.844 2.572
Li 4.823 0.931 0.000
V 0.000 1.986 2.580
V 3.209 3.789 0.008
Tc 0.000 3.797 0.045
Tc 3.209 1.978 2.617
N 0.000 2.102 4.410
N 0.000 3.697 1.916
N 1.599 1.122 2.169
N 1.610 4.653 4.741
N 3.209 2.078 4.488
N 3.209 3.673 1.838
N 4.808 4.653 4.741
N 4.819 1.122 2.169
```

Main lines, by angle (10 to 90 degrees two-theta):
15.34 deg, d = 5.775 Å, rel. 62
22.15 deg, d = 4.014 Å, rel. 16
23.16 deg, d = 3.841 Å, rel. 100
27.80 deg, d = 3.209 Å, rel. 38
31.90 deg, d = 2.805 Å, rel. 36
34.88 deg, d = 2.572 Å, rel. 32
35.66 deg, d = 2.518 Å, rel. 28
36.48 deg, d = 2.463 Å, rel. 40
45.18 deg, d = 2.007 Å, rel. 17
45.81 deg, d = 1.981 Å, rel. 31
55.68 deg, d = 1.651 Å, rel. 20
67.41 deg, d = 1.389 Å, rel. 18

Diffraction record for LiY2TcN. The powder diffractogram is calculated, not measured: it uses a PBE-relaxed structure and Cu Ka.
Peak positions follow from Bragg's law for the DFT cell and can differ from measured ones.

Structure:
```
5
Lattice="4.943 0.000 0.000 0.000 4.943 0.000 0.000 0.000 3.901" Properties=species:S:1:pos:R:3 pbc="T T T"
Li 0.000 0.000 0.000
Y 0.000 2.472 1.951
Y 2.472 0.000 1.951
Tc 2.472 2.472 0.000
N 2.472 2.472 1.951
```

Main lines, by angle (10 to 90 degrees two-theta):
17.94 deg, d = 4.943 Å, rel. 43
22.80 deg, d = 3.901 Å, rel. 8
29.16 deg, d = 3.062 Å, rel. 14
34.45 deg, d = 2.603 Å, rel. 100
36.35 deg, d = 2.472 Å, rel. 52
40.82 deg, d = 2.211 Å, rel. 10
46.56 deg, d = 1.951 Å, rel. 13
52.35 deg, d = 1.748 Å, rel. 18
60.46 deg, d = 1.531 Å, rel. 22
64.18 deg, d = 1.451 Å, rel. 32
72.64 deg, d = 1.302 Å, rel. 13
78.47 deg, d = 1.219 Å, rel. 10

Diffraction record for LiZrTc2N4. The powder diffractogram is calculated, not measured: it uses a PBE-relaxed structure and Cu Ka.
Peak positions follow from Bragg's law for the DFT cell and can differ from measured ones.

Structure:
```
16
Lattice="6.728 0.000 0.000 0.000 5.549 0.000 0.000 0.000 5.428" Properties=species:S:1:pos:R:3 pbc="T T T"
Li 0.000 0.885 0.000
Li 3.364 4.664 2.714
Zr 0.000 4.706 2.823
Zr 3.364 0.843 0.109
Tc 1.642 2.075 2.549
Tc 1.722 3.474 5.263
Tc 5.006 3.474 5.263
Tc 5.086 2.075 2.549
N 0.000 1.216 2.040
N 0.000 4.331 4.929
N 1.627 3.899 1.774
N 1.737 1.650 4.488
N 3.364 1.218 2.215
N 3.364 4.333 4.754
N 4.991 1.650 4.488
N 5.101 3.899 1.774
```

Main lines, by angle (10 to 90 degrees two-theta):
15.97 deg, d = 5.549 Å, rel. 39
20.75 deg, d = 4.281 Å, rel. 26
21.03 deg, d = 4.225 Å, rel. 47
22.92 deg, d = 3.880 Å, rel. 25
26.50 deg, d = 3.363 Å, rel. 28
31.09 deg, d = 2.877 Å, rel. 89
33.00 deg, d = 2.714 Å, rel. 71
35.31 deg, d = 2.542 Å, rel. 100
36.37 deg, d = 2.470 Å, rel. 98
45.97 deg, d = 1.974 Å, rel. 47
60.44 deg, d = 1.532 Å, rel. 29
67.32 deg, d = 1.391 Å, rel. 52

Diffraction record for Li6TeN4. The powder diffractogram is calculated, not measured: it uses a PBE-relaxed structure and Cu Ka.
Peak positions follow from Bragg's law for the DFT cell and can differ from measured ones.

Structure:
```
22
Lattice="6.821 0.000 0.000 0.000 6.821 0.000 0.000 0.000 4.947" Properties=species:S:1:pos:R:3 pbc="T T T"
Li 0.255 3.666 1.237
Li 0.255 6.566 1.237
Li 1.705 1.705 0.865
Li 1.705 1.705 3.339
Li 3.155 3.666 1.237
Li 3.155 6.566 1.237
Li 3.666 0.255 3.710
Li 3.666 3.155 3.710
Li 5.116 5.116 1.609
Li 5.116 5.116 4.082
Li 6.566 0.255 3.710
Li 6.566 3.155 3.710
Te 1.705 5.116 3.710
Te 5.116 1.705 1.237
N 0.007 5.116 2.716
N 1.705 3.418 4.705
N 1.705 6.814 4.705
N 3.403 5.116 2.716
N 3.418 1.705 2.232
N 5.116 0.007 0.242
N 5.116 3.403 0.242
N 6.814 1.705 2.232
```

Main lines, by angle (10 to 90 degrees two-theta):
18.39 deg, d = 4.823 Å, rel. 62
22.20 deg, d = 4.005 Å, rel. 100
26.13 deg, d = 3.411 Å, rel. 27
34.54 deg, d = 2.597 Å, rel. 56
41.00 deg, d = 2.201 Å, rel. 17
41.88 deg, d = 2.157 Å, rel. 14
43.82 deg, d = 2.066 Å, rel. 21
51.73 deg, d = 1.767 Å, rel. 13
53.03 deg, d = 1.727 Å, rel. 19
56.61 deg, d = 1.626 Å, rel. 12
58.86 deg, d = 1.569 Å, rel. 13
64.20 deg, d = 1.451 Å, rel. 13

Diffraction record for Li6Te2N. The powder diffractogram is calculated, not measured: it uses a PBE-relaxed structure and Cu Ka.
Peak positions follow from Bragg's law for the DFT cell and can differ from measured ones.

Structure:
```
9
Lattice="6.174 0.000 0.000 -3.087 5.347 0.000 0.000 0.000 4.618" Properties=species:S:1:pos:R:3 pbc="T T T"
Li 0.000 1.721 1.301
Li -1.596 4.486 1.301
Li 1.491 0.861 3.317
Li 1.596 4.486 1.301
Li 4.683 0.861 3.317
Li 3.087 3.626 3.317
Te 0.000 3.565 3.605
Te 3.087 1.782 1.013
N 0.000 0.000 2.309
```

Main lines, by angle (10 to 90 degrees two-theta):
16.58 deg, d = 5.347 Å, rel. 33
25.49 deg, d = 3.495 Å, rel. 100
28.92 deg, d = 3.087 Å, rel. 54
33.52 deg, d = 2.674 Å, rel. 9
38.94 deg, d = 2.313 Å, rel. 51
42.65 deg, d = 2.120 Å, rel. 13
49.24 deg, d = 1.851 Å, rel. 49
51.26 deg, d = 1.782 Å, rel. 11
59.93 deg, d = 1.544 Å, rel. 9
60.92 deg, d = 1.521 Å, rel. 9
66.20 deg, d = 1.412 Å, rel. 20
73.82 deg, d = 1.284 Å, rel. 13

Diffraction record for LiThTeN. The powder diffractogram is calculated, not measured: it uses a PBE-relaxed structure and Cu Ka.
Peak positions follow from Bragg's law for the DFT cell and can differ from measured ones.

Structure:
```
8
Lattice="3.504 0.000 0.000 0.000 3.504 0.000 0.000 0.000 12.602" Properties=species:S:1:pos:R:3 pbc="T T T"
Li 0.000 0.000 0.000
Li 1.752 1.752 6.301
Th 0.000 0.000 8.773
Th 1.752 1.752 2.472
Te 0.000 0.000 5.100
Te 1.752 1.752 11.401
N 0.000 0.000 1.958
N 1.752 1.752 8.259
```

Main lines, by angle (10 to 90 degrees two-theta):
14.06 deg, d = 6.301 Å, rel. 33
26.40 deg, d = 3.376 Å, rel. 76
28.33 deg, d = 3.150 Å, rel. 37
33.30 deg, d = 2.691 Å, rel. 100
36.25 deg, d = 2.478 Å, rel. 52
46.63 deg, d = 1.948 Å, rel. 38
52.20 deg, d = 1.752 Å, rel. 18
57.55 deg, d = 1.602 Å, rel. 39
59.43 deg, d = 1.555 Å, rel. 17
60.46 deg, d = 1.531 Å, rel. 18
63.34 deg, d = 1.468 Å, rel. 32
81.41 deg, d = 1.182 Å, rel. 19